No. 1
Diffraction record for Rb2AlI5. The powder diffraction line list is calculated, not measured: it uses a PBE-relaxed structure and Cu Ka.
Lines closer than 0.1° are merged.

Largest 8 diffraction maxima, by angle, 2θ = 15–90°:
(hkl), d (Å), I/Imax
2 1 1, 3.610, 12
2 0 2, 3.334, 100
2 2 0, 3.035, 43
0 0 4, 2.647, 14
4 0 0, 2.146, 13
2 2 4, 1.995, 20
3 2 3, 1.974, 11
4 2 2, 1.805, 23

Cell and atoms:
```
data_Rb2AlI5
_space_group_name_H-M_alt 'I 4 m m'
_space_group_IT_number 107
_space_group_name_Hall 'I 4 -2'
_cell_length_a 8.5856
_cell_length_b 8.5856
_cell_length_c 10.5886
_cell_angle_alpha 90.00
_cell_angle_beta 90.00
_cell_angle_gamma 90.00
loop_
_atom_site_label
_atom_site_type_symbol
_atom_site_fract_x
_atom_site_fract_y
_atom_site_fract_z
Rb1 Rb 0.0000 0.5000 0.0000
Al1 Al 0.0000 0.0000 0.2969
I1 I 0.0000 0.0000 0.5397
I2 I 0.2207 0.2207 0.2424
```

No. 2
Diffraction record for AlReSbI2. The powder diffraction line list is calculated, not measured: it uses a PBE-relaxed structure and Cu Ka.
Lines closer than 0.1° are merged.

Largest 8 diffraction maxima, by angle, 2θ = 15–90°:
(hkl), d (Å), I/Imax
1 0 0, 5.681, 100
0 0 1, 5.102, 42
1 1 1, 3.156, 30
2 0 0, 2.840, 83
0 0 2, 2.551, 31
2 2 0, 2.009, 30
2 0 2, 1.898, 51
2 2 2, 1.578, 34

Cell and atoms:
```
data_AlReSbI2
_space_group_name_H-M_alt 'P 4/m m m'
_space_group_IT_number 123
_space_group_name_Hall '-P 4 2'
_cell_length_a 5.6810
_cell_length_b 5.6810
_cell_length_c 5.1016
_cell_angle_alpha 90.00
_cell_angle_beta 90.00
_cell_angle_gamma 90.00
loop_
_atom_site_label
_atom_site_type_symbol
_atom_site_fract_x
_atom_site_fract_y
_atom_site_fract_z
Al1 Al 0.0000 0.0000 0.0000
Re1 Re 0.5000 0.5000 0.5000
Sb1 Sb 0.5000 0.5000 0.0000
I1 I 0.0000 0.5000 0.5000
```

No. 3
Diffraction record for AlRhI3. The powder diffraction line list is calculated, not measured: it uses a PBE-relaxed structure and Cu Ka.
Lines closer than 0.1° are merged.

Largest 8 diffraction maxima, by angle, 2θ = 15–90°:
(hkl), d (Å), I/Imax
1 0 0, 5.453, 91
1 1 1, 3.148, 67
2 0 0, 2.726, 100
2 1 0, 2.438, 47
2 2 0, 1.928, 72
3 1 1, 1.644, 29
4 2 0, 1.219, 32
4 2 2, 1.113, 25

Cell and atoms:
```
data_AlRhI3
_space_group_name_H-M_alt 'P m -3 m'
_space_group_IT_number 221
_space_group_name_Hall '-P 4 2 3'
_cell_length_a 5.4525
_cell_length_b 5.4525
_cell_length_c 5.4525
_cell_angle_alpha 90.00
_cell_angle_beta 90.00
_cell_angle_gamma 90.00
loop_
_atom_site_label
_atom_site_type_symbol
_atom_site_fract_x
_atom_site_fract_y
_atom_site_fract_z
Al1 Al 0.0000 0.0000 0.0000
Rh1 Rh 0.5000 0.5000 0.5000
I1 I 0.0000 0.5000 0.5000
```

No. 4
Diffraction record for AlSI. The powder diffraction line list is calculated, not measured: it uses a PBE-relaxed structure and Cu Ka.
Lines closer than 0.1° are merged.

Largest 8 diffraction maxima, by angle, 2θ = 15–90°:
(hkl), d (Å), I/Imax
2 0 -1, 4.905, 72
2 0 1, 4.861, 70
4 0 -1, 3.637, 69
4 0 1, 3.601, 50
3 1 0, 3.185, 66
1 1 -1, 3.071, 100
5 1 -1, 2.398, 29
3 1 -2, 2.135, 40

Cell and atoms:
```
data_AlSI
_space_group_name_H-M_alt 'C 1 m 1'
_space_group_IT_number 8
_cell_length_a 18.6726
_cell_length_b 3.7079
_cell_length_c 5.7286
_cell_angle_alpha 90.00
_cell_angle_beta 90.58
_cell_angle_gamma 90.00
loop_
_space_group_symop_operation_xyz
'x,y,z'
'x,-y,z'
'x+1/2,y+1/2,z'
'x+1/2,-y+1/2,z'
loop_
_atom_site_label
_atom_site_type_symbol
_atom_site_fract_x
_atom_site_fract_y
_atom_site_fract_z
Al1 Al 0.0000 0.0000 0.0000
Al2 Al 0.1113 0.5000 0.4836
S1 S 0.0117 0.5000 0.2393
S2 S 0.0910 0.0000 0.7355
I1 I 0.2054 0.0000 0.3008
I2 I 0.3775 0.5000 0.8232
```

No. 5
Diffraction record for Tb7AlI12. The powder diffraction line list is calculated, not measured: it uses a PBE-relaxed structure and Cu Ka.
Lines closer than 0.1° are merged.

Largest 8 diffraction maxima, by angle, 2θ = 15–90°:
(hkl), d (Å), I/Imax
4 -1 2, 3.079, 100
5 2 0, 2.190, 37
1 3 4, 2.165, 36
2 6 2, 1.785, 19
8 -2 4, 1.539, 12
9 1 2, 1.383, 15
5 2 6, 1.371, 15
6 5 4, 1.259, 11

Cell and atoms:
```
data_Tb7AlI12
_space_group_name_H-M_alt 'R -3'
_space_group_IT_number 148
_space_group_name_Hall '-R 3'
_cell_length_a 15.7925
_cell_length_b 15.7925
_cell_length_c 10.5430
_cell_angle_alpha 90.00
_cell_angle_beta 90.00
_cell_angle_gamma 120.00
loop_
_atom_site_label
_atom_site_type_symbol
_atom_site_fract_x
_atom_site_fract_y
_atom_site_fract_z
Tb1 Tb 0.0000 0.0000 0.0000
Tb2 Tb 0.0469 0.8818 0.3485
Al1 Al 0.0000 0.0000 0.5000
I1 I 0.0212 0.4343 0.1641
I2 I 0.0513 0.8691 0.8385
```

No. 6
Diffraction record for AlTeI7. The powder diffraction line list is calculated, not measured: it uses a PBE-relaxed structure and Cu Ka.
Lines closer than 0.1° are merged.

Largest 8 diffraction maxima, by angle, 2θ = 15–90°:
(hkl), d (Å), I/Imax
0 1 3, 4.162, 57
1 1 2, 4.118, 100
0 2 1, 3.671, 61
2 1 -1, 3.634, 68
2 1 -2, 3.513, 56
1 1 3, 3.422, 75
1 2 -3, 2.969, 48
3 0 -6, 2.097, 49

Cell and atoms:
```
data_AlTeI7
_space_group_name_H-M_alt 'P 1 c 1'
_space_group_IT_number 7
_cell_length_a 8.2852
_cell_length_b 7.5737
_cell_length_c 15.4133
_cell_angle_alpha 90.00
_cell_angle_beta 104.13
_cell_angle_gamma 90.00
loop_
_space_group_symop_operation_xyz
'x,y,z'
'x,-y,z+1/2'
loop_
_atom_site_label
_atom_site_type_symbol
_atom_site_fract_x
_atom_site_fract_y
_atom_site_fract_z
Al1 Al 0.0000 0.0084 0.0000
Te1 Te 0.6742 0.3959 0.8535
I1 I 0.0070 0.1424 0.8469
I2 I 0.0355 0.3255 0.5023
I3 I 0.2313 0.1543 0.1210
I4 I 0.4269 0.4217 0.4087
I5 I 0.4663 0.1524 0.7436
I6 I 0.7148 0.0967 0.0285
I7 I 0.7238 0.3847 0.2186
```